[1]
Starting from a DFT-relaxed cell (PBE, Alexandria), the powder diffractogram of Ba2AlCdAg6 was calculated for Cu Kα, 1.54184 Å.

Crystal structure
abc: 6.0891 7.2082 7.4700
angles: 74.58 65.98 65.19
Space group P-1 (No. 2)
One atom of each set of equivalent atoms:
Ba 0.2452 0.1999 0.3102 x2
Al 0.0000 0.0000 0.0000 x1
Cd 0.5000 0.5000 0.5000 x1
Ag 0.2248 0.2645 0.7943 x2
Ag 0.2471 0.6139 0.8905 x2
Ag 0.2848 0.7346 0.2050 x2

Largest 8 diffraction maxima, in order of rising 2θ, 15° ≤ 2θ ≤ 90°:
2theta	I (rel.)	(hkl)
26.1	366	1 1 -1
26.7	711	1 2 0
27.4	364	0 2 0
34.5	1000	2 2 2
35.8	871	2 0 2
36.0	697	0 2 2
36.2	354	1 1 3
37.7	290	1 1 -2



[2]
Starting from a DFT-relaxed cell (PBE, Alexandria), the powder diffractogram of K2CdFeBr6 was calculated for Cu Kα, 1.54184 Å.

Crystal structure
abc: 7.6438 7.6438 18.1929
angles: 90.00 90.00 120.00
Space group R-3 (No. 148, hexagonal axes)
One atom of each set of equivalent atoms:
K 0.0000 0.0000 0.2454 x6
Cd 0.0000 0.0000 0.5000 x3
Fe 0.0000 0.0000 0.0000 x3
Br 0.0143 0.4365 0.7483 x18

Largest 8 diffraction maxima, in order of rising 2θ, 15° ≤ 2θ ≤ 90°:
2theta	I (rel.)	(hkl)
16.6	740	0 1 2
27.6	658	1 1 3
28.7	299	2 0 2
33.5	1000	0 2 4
36.2	235	2 1 1
37.9	298	2 -1 6
48.6	333	2 0 8
49.9	237	4 -3 1



[3]
Starting from a DFT-relaxed cell (PBE, Alexandria), the powder diffractogram of PmPuTeSe2 was calculated for Cu Kα, 1.54184 Å.

Crystal structure
abc: 4.5872 4.5872 14.2455
angles: 90.00 90.00 90.00
Space group I4mm (No. 107)
One atom of each set of equivalent atoms:
Pm 0.0000 0.0000 0.0000 x2
Pu 0.0000 0.0000 0.2614 x2
Te 0.0000 0.0000 0.6309 x2
Se 0.0000 0.5000 0.3794 x4

Largest 8 diffraction maxima, in order of rising 2θ, 15° ≤ 2θ ≤ 90°:
2theta	I (rel.)	(hkl)
20.3	237	1 0 1
27.0	1000	1 0 3
27.5	314	1 1 0
30.3	305	1 1 2
37.1	294	1 0 5
37.5	402	1 1 4
39.3	457	2 0 0
48.3	416	2 1 3